Ac2CdAuO5: theoretical PXRD pattern (copper Kα), based on a PBE-relaxed structure.

Principal peaks in the range 10° ≤ 2θ ≤ 90°, sorted by position:
index, d/Å, I/Imax
2 1 0, 3.284, 215
2 0 1, 3.117, 1000
0 0 2, 2.950, 316
2 1 1, 2.869, 438
2 2 0, 2.596, 242
2 1 2, 2.195, 280
3 1 1, 2.161, 170
2 2 2, 1.949, 209
2 0 3, 1.733, 262
4 1 1, 1.705, 166

Structural model:
Unit cell a=7.343 b=7.343 c=5.900 alpha=90.00 beta=90.00 gamma=90.00
Space group P4/mbm (No. 127)
Symmetry-distinct sites (fractional):
Ac  0.181  0.319  0.000
Cd  0.000  0.000  0.500
Au  0.000  0.500  0.500
O  0.000  0.000  0.000
O  0.130  0.630  0.246